Starting from a GGA-PBE-relaxed structure, the X-ray powder pattern of Pm3Pd was simulated for Cu Kα, 1.54184 Å.

Cell and atoms:
```
data_Pm3Pd
_chemical_formula_sum 'Pm24 Pd8'
_symmetry_space_group_name_H-M 'I -4'
_symmetry_Int_Tables_number 82
_cell_length_a 12.2455
_cell_length_b 12.2455
_cell_length_c 6.1518
_cell_angle_alpha 90.00
_cell_angle_beta 90.00
_cell_angle_gamma 90.00
loop_
_symmetry_equiv_pos_as_xyz
'x,y,z'
'y,-x,-z'
'-x,-y,z'
'-y,x,-z'
'x+1/2,y+1/2,z+1/2'
'y+1/2,-x+1/2,-z+1/2'
'-x+1/2,-y+1/2,z+1/2'
'-y+1/2,x+1/2,-z+1/2'
loop_
_atom_site_label
_atom_site_type_symbol
_atom_site_fract_x
_atom_site_fract_y
_atom_site_fract_z
_atom_site_occupancy
Pm1 Pm 0.0005 0.1422 0.2495 1
Pm2 Pm 0.0941 0.5957 0.0012 1
Pm3 Pm 0.2045 0.7060 0.5292 1
Pd1 Pd 0.0011 0.2036 0.7493 1
```

Principal peaks in the range 15 to 90 degrees two-theta, by angle:
d (Å)  Position (°2θ)  I (rel.)
2.973  30.06  98
2.898  30.85  74
2.886  30.98  59
2.738  32.70  44
2.675  33.51  100
2.507  35.81  50
2.402  37.45  24
1.755  52.10  25
1.733  52.83  28
1.700  53.92  27